Entry 1:
The following is a calculated powder diffraction line list of Pr2MgI2N2. It was derived from a crystal structure in Alexandria, relaxed with PBE, using Cu Kα X-rays.
Kinematic intensities with the Lorentz-polarization factor, no thermal factor.

The 8 most intense peaks (15° ≤ 2θ ≤ 90°), sorted by position:
index  two_theta  I (rel.)
1 0 3  24.8  85
1 0 5  30.0  50
1 1 0  30.4  91
1 1 4  34.9  26
1 0 7  36.6  100
2 0 0  43.6  41
2 1 3  50.8  24
2 1 7  58.2  52

```
data_Pr2MgI2N2
_symmetry_space_group_name_H-M 'I 4/m m m'
_symmetry_Int_Tables_number 139
_symmetry_space_group_name_Hall '-I 4 2'
_cell_length_a 4.1562
_cell_length_b 4.1562
_cell_length_c 21.2917
_cell_angle_alpha 90.00
_cell_angle_beta 90.00
_cell_angle_gamma 90.00
loop_
_atom_site_label
_atom_site_fract_x
_atom_site_fract_y
_atom_site_fract_z
_atom_site_occupancy
Pr1 0.0000 0.0000 0.0724 1
Mg1 0.0000 0.0000 0.5000 1
I1 0.0000 0.0000 0.3418 1
N1 0.0000 0.5000 0.0000 1
```

Entry 2:
The following is a calculated powder diffraction line list of Cs2Pr2HfS6. It was derived from a crystal structure in Alexandria, relaxed with PBE, using Cu Kα X-rays.
Kinematic intensities with the Lorentz-polarization factor, no thermal factor.

The 8 most intense peaks (15° ≤ 2θ ≤ 90°), sorted by position:
index  two_theta  I (rel.)
0 0 2  21.6  45
2 0 0  26.2  25
1 3 -1  26.3  45
2 0 -2  28.9  48
1 3 1  29.3  100
2 0 2  38.7  56
3 3 -1  44.3  31
1 3 3  44.9  19

```
data_Cs2Pr2HfS6
_symmetry_space_group_name_H-M 'C 1 2/m 1'
_symmetry_Int_Tables_number 12
_cell_length_a 7.0995
_cell_length_b 12.1482
_cell_length_c 8.5944
_cell_angle_alpha 90.00
_cell_angle_beta 106.38
_cell_angle_gamma 90.00
loop_
_symmetry_equiv_pos_as_xyz
'x,y,z'
'-x,-y,-z'
'-x,y,-z'
'x,-y,z'
'x+1/2,y+1/2,z'
'-x+1/2,-y+1/2,-z'
'-x+1/2,y+1/2,-z'
'x+1/2,-y+1/2,z'
loop_
_atom_site_label
_atom_site_fract_x
_atom_site_fract_y
_atom_site_fract_z
_atom_site_occupancy
Cs1 0.0000 0.1707 0.0000 1
Pr1 0.0000 0.3336 0.5000 1
Hf1 0.0000 0.0000 0.5000 1
S1 0.2132 0.1523 0.6784 1
S2 0.2397 0.0000 0.3225 1
```

Entry 3:
The following is a calculated powder diffraction line list of Ac2ErCu2O6. It was derived from a crystal structure in Alexandria, relaxed with PBE, using Cu Kα X-rays.
Kinematic intensities with the Lorentz-polarization factor, no thermal factor.

The 8 most intense peaks (15° ≤ 2θ ≤ 90°), sorted by position:
index  two_theta  I (rel.)
1 0 1  17.9  18
1 0 4  27.4  22
1 1 0  29.8  100
0 1 5  31.9  75
2 0 5  44.2  36
3 0 0  52.9  20
1 2 5  54.2  37
2 2 0  61.9  17

```
data_Ac2ErCu2O6
_symmetry_space_group_name_H-M 'R -3 m'
_symmetry_Int_Tables_number 166
_symmetry_space_group_name_Hall '-R 3 2"'
_cell_length_a 5.9986
_cell_length_b 5.9986
_cell_length_c 16.6960
_cell_angle_alpha 90.00
_cell_angle_beta 90.00
_cell_angle_gamma 120.00
loop_
_atom_site_label
_atom_site_fract_x
_atom_site_fract_y
_atom_site_fract_z
_atom_site_occupancy
Ac1 0.0000 0.0000 0.2093 1
Er1 0.0000 0.0000 0.0000 1
Cu1 0.0000 0.0000 0.4210 1
O1 0.0301 0.5150 0.7608 1
```